No. 1
Calculated PXRD pattern of VOF for a wavelength of 1.5418 Å, from DFT lattice parameters and positions (PBE+U).
Neutral-atom scattering factors, no anomalous dispersion.

Structural model:
```
data_VOF
_symmetry_space_group_name_H-M 'C m m m'
_symmetry_Int_Tables_number 65
_symmetry_space_group_name_Hall '-C 2 2'
_cell_length_a 6.437
_cell_length_b 7.030
_cell_length_c 3.083
_cell_angle_alpha 90.00
_cell_angle_beta 90.00
_cell_angle_gamma 90.00
loop_
_atom_site_label
_atom_site_fract_x
_atom_site_fract_y
_atom_site_fract_z
_atom_site_occupancy
V1 0.000 0.000 0.000 1
V2 0.000 0.500 0.500 1
O1 0.200 0.000 0.500 1
F1 0.000 0.304 0.000 1
```

Principal peaks in the range 2θ = 15–90°, low angle first:
- 25.34 deg, intensity 100, hkl 0 2 0
- 27.72 deg, intensity 93, hkl 2 0 0
- 34.69 deg, intensity 93, hkl 1 1 1
- 38.85 deg, intensity 22, hkl 0 2 1
- 40.52 deg, intensity 21, hkl 2 0 1
- 50.96 deg, intensity 71, hkl 1 3 1
- 52.04 deg, intensity 21, hkl 0 4 0
- 53.65 deg, intensity 50, hkl 3 1 1
- 57.25 deg, intensity 17, hkl 4 0 0
- 60.00 deg, intensity 28, hkl 0 0 2
- 66.40 deg, intensity 45, hkl 3 3 1
- 67.35 deg, intensity 12, hkl 2 0 2

=====

No. 2
Calculated PXRD pattern of Co7Te4Br6O12 for a wavelength of 1.5418 Å, from DFT lattice parameters and positions (PBE+U).
Neutral-atom scattering factors, no anomalous dispersion.

Structural model:
```
data_Co7Te4Br6O12
_symmetry_space_group_name_H-M 'C 1 2/c 1'
_symmetry_Int_Tables_number 15
_symmetry_space_group_name_Hall '-C 2yc'
_cell_length_a 20.891
_cell_length_b 8.642
_cell_length_c 14.839
_cell_angle_alpha 90.00
_cell_angle_beta 124.65
_cell_angle_gamma 90.00
loop_
_atom_site_label
_atom_site_fract_x
_atom_site_fract_y
_atom_site_fract_z
_atom_site_occupancy
Co1 0.000 0.000 0.000 1
Co2 0.165 0.102 0.161 1
Co3 0.210 0.313 0.877 1
Co4 0.210 0.316 0.381 1
Te1 0.118 0.007 0.400 1
Te2 0.175 0.498 0.138 1
Br1 0.051 0.240 0.150 1
Br2 0.089 0.186 0.675 1
Br3 0.116 0.487 0.889 1
O1 0.096 0.032 0.008 1
O2 0.183 0.179 0.469 1
O3 0.198 0.140 0.957 1
O4 0.211 0.296 0.142 1
O5 0.223 0.495 0.299 1
O6 0.235 0.112 0.327 1
```

Principal peaks in the range 2θ = 15–90°, low angle first:
- 20.70 deg, intensity 30, hkl 4 0 0
- 26.93 deg, intensity 99, hkl 4 2 -2
- 27.79 deg, intensity 22, hkl 5 1 -4
- 29.28 deg, intensity 100, hkl 0 0 4
- 30.39 deg, intensity 31, hkl 2 2 2
- 32.07 deg, intensity 63, hkl 4 2 -4
- 35.55 deg, intensity 26, hkl 8 0 -2
- 36.10 deg, intensity 44, hkl 1 3 2
- 36.42 deg, intensity 29, hkl 2 0 4
- 37.96 deg, intensity 22, hkl 4 2 2
- 40.14 deg, intensity 28, hkl 8 0 -6
- 42.32 deg, intensity 29, hkl 4 2 -6